This entry pairs a crystal structure of Li15Si4 with its calculated powder XRD pattern. Radiation: a wavelength of 1.5418 Å. Structure: a PBE-relaxed structure.

Top 8 peaks for 2θ = 15–90°, sorted by position:
2θ/deg, I_rel
20.5, 40
23.8, 100
26.6, 42
39.9, 73
41.8, 29
43.6, 71
47.0, 30
77.5, 23

Crystal structure
```
Li15Si4
1.0
-5.297 5.297 5.297
5.297 -5.297 5.297
5.297 5.297 -5.297
Li Si
30 8
Cartesian
4.910 -1.300 1.630
6.315 3.949 -3.036
6.646 2.261 -1.018
5.297 -2.649 3.973
6.928 0.388 1.300
3.949 3.036 -1.018
3.036 1.018 1.348
3.973 5.297 -2.649
3.036 -1.018 3.949
3.949 -3.036 6.315
1.630 4.910 -1.300
5.297 2.649 1.324
1.348 3.036 1.018
1.018 1.348 3.036
4.910 1.300 3.667
2.261 -1.018 6.646
3.667 4.910 1.300
-1.300 1.630 4.910
2.649 1.324 5.297
-1.018 3.949 3.036
1.300 6.928 0.388
5.685 3.997 3.667
1.324 5.297 2.649
0.388 1.300 6.928
1.300 3.667 4.910
-1.018 6.646 2.261
-2.649 3.973 5.297
3.997 3.667 5.685
3.667 5.685 3.997
-3.036 6.315 3.949
4.851 0.446 -0.446
7.500 -2.202 2.202
0.446 0.446 0.446
0.446 -0.446 4.851
-0.446 4.851 0.446
2.202 7.500 -2.202
3.095 3.095 3.095
-2.202 2.202 7.500
```